For BaAg4F12, DFT lattice parameters and positions (PBE) gives the calculated powder diffractogram in this record (λ = 1.5418 Å (Cu Kα)).
Neutral-atom scattering factors, no anomalous dispersion.

Main lines, by angle (2θ from 10° to 90°):
14.7 deg, I = 46.2
20.8 deg, I = 77.3
25.5 deg, I = 16.0
29.6 deg, I = 100.0
39.5 deg, I = 14.8
42.3 deg, I = 47.2
47.6 deg, I = 31.1
52.5 deg, I = 41.2
61.4 deg, I = 27.4
65.6 deg, I = 13.1
69.6 deg, I = 17.1
85.0 deg, I = 21.3

Atomic structure:
a b c (Å): 7.397 7.397 7.397
angles (deg): 109.47 109.47 109.47
Fractional positions:
Ba: 0.000 0.000 0.000
Ag: 0.000 0.000 0.500
Ag: 0.000 0.500 0.000
Ag: 0.500 0.000 0.000
Ag: 0.500 0.500 0.500
F: 0.000 0.236 0.764
F: 0.000 0.764 0.236
F: 0.236 0.000 0.764
F: 0.236 0.236 0.472
F: 0.236 0.472 0.236
F: 0.236 0.764 0.000
F: 0.472 0.236 0.236
F: 0.528 0.764 0.764
F: 0.764 0.000 0.236
F: 0.764 0.236 0.000
F: 0.764 0.528 0.764
F: 0.764 0.764 0.528

For BaGaAg2F6, DFT lattice parameters and positions (PBE) gives the calculated powder diffractogram in this record (λ = 1.5418 Å (Cu Kα)).
Neutral-atom scattering factors, no anomalous dispersion.

Main lines, by angle (2θ from 10° to 90°):
17.2 deg, I = 15.3
25.6 deg, I = 48.7
29.7 deg, I = 32.2
30.6 deg, I = 100.0
34.6 deg, I = 16.1
38.4 deg, I = 21.8
39.7 deg, I = 40.3
46.7 deg, I = 14.6
48.4 deg, I = 36.9
53.3 deg, I = 26.6
61.7 deg, I = 15.4
74.3 deg, I = 12.0

Atomic structure:
a b c (Å): 6.007 6.949 7.640
angles (deg): 90.00 90.00 90.00
Fractional positions:
Ba: 0.000 0.000 0.000
Ba: 0.500 0.500 0.500
Ga: 0.000 0.000 0.500
Ga: 0.500 0.500 0.000
Ag: 0.000 0.500 0.309
Ag: 0.000 0.500 0.691
Ag: 0.500 0.000 0.191
Ag: 0.500 0.000 0.809
F: 0.136 0.154 0.316
F: 0.136 0.154 0.684
F: 0.231 0.348 0.000
F: 0.269 0.848 0.500
F: 0.364 0.654 0.184
F: 0.364 0.654 0.816
F: 0.636 0.346 0.184
F: 0.636 0.346 0.816
F: 0.731 0.152 0.500
F: 0.769 0.652 0.000
F: 0.864 0.846 0.316
F: 0.864 0.846 0.684

For BaGaAgF6, DFT lattice parameters and positions (PBE) gives the calculated powder diffractogram in this record (λ = 1.5418 Å (Cu Kα)).
Neutral-atom scattering factors, no anomalous dispersion.

Main lines, by angle (2θ from 10° to 90°):
24.2 deg, I = 100.0
30.4 deg, I = 38.2
34.9 deg, I = 6.7
39.2 deg, I = 26.7
46.0 deg, I = 42.5
50.4 deg, I = 26.9
54.0 deg, I = 14.4
54.8 deg, I = 9.5
65.2 deg, I = 8.3
68.8 deg, I = 10.4
72.5 deg, I = 9.4
73.6 deg, I = 9.6

Atomic structure:
a b c (Å): 5.883 5.883 5.321
angles (deg): 90.00 90.00 120.05
Fractional positions:
Ba: 0.000 0.000 0.000
Ga: 0.333 0.667 0.500
Ag: 0.666 0.334 0.500
F: 0.066 0.394 0.292
F: 0.068 0.672 0.709
F: 0.328 0.932 0.291
F: 0.329 0.395 0.709
F: 0.605 0.671 0.291
F: 0.606 0.934 0.708

For BaHfAg2F8, DFT lattice parameters and positions (PBE) gives the calculated powder diffractogram in this record (λ = 1.5418 Å (Cu Kα)).
Neutral-atom scattering factors, no anomalous dispersion.

Main lines, by angle (2θ from 10° to 90°):
23.9 deg, I = 69.4
25.7 deg, I = 70.6
27.4 deg, I = 100.0
29.8 deg, I = 53.0
31.2 deg, I = 19.9
39.2 deg, I = 22.1
42.6 deg, I = 48.2
44.7 deg, I = 33.2
47.5 deg, I = 24.2
49.4 deg, I = 18.9
52.4 deg, I = 18.0
53.2 deg, I = 24.7

Atomic structure:
a b c (Å): 4.609 7.910 5.750
angles (deg): 90.00 94.06 90.00
Fractional positions:
Ba: 0.000 0.000 0.000
Hf: 0.000 0.500 0.000
Ag: 0.500 0.246 0.500
Ag: 0.500 0.754 0.500
F: 0.129 0.307 0.800
F: 0.129 0.693 0.800
F: 0.360 0.500 0.218
F: 0.499 0.000 0.250
F: 0.501 0.000 0.750
F: 0.640 0.500 0.782
F: 0.871 0.307 0.200
F: 0.871 0.693 0.200

For BaLi3Ag4F12, DFT lattice parameters and positions (PBE) gives the calculated powder diffractogram in this record (λ = 1.5418 Å (Cu Kα)).
Neutral-atom scattering factors, no anomalous dispersion.

Main lines, by angle (2θ from 10° to 90°):
15.1 deg, I = 27.7
21.4 deg, I = 42.7
26.3 deg, I = 8.8
30.5 deg, I = 100.0
34.2 deg, I = 20.4
40.7 deg, I = 20.0
43.6 deg, I = 25.3
49.1 deg, I = 22.5
54.1 deg, I = 56.5
63.4 deg, I = 12.6
71.9 deg, I = 19.0
88.1 deg, I = 21.8

Atomic structure:
a b c (Å): 7.189 7.189 7.189
angles (deg): 109.47 109.47 109.47
Fractional positions:
Ba: 0.000 0.000 0.000
Li: 0.000 0.500 0.500
Li: 0.500 0.000 0.500
Li: 0.500 0.500 0.000
Ag: 0.000 0.000 0.500
Ag: 0.000 0.500 0.000
Ag: 0.500 0.000 0.000
Ag: 0.500 0.500 0.500
F: 0.152 0.313 0.839
F: 0.161 0.474 0.313
F: 0.161 0.848 0.687
F: 0.313 0.161 0.474
F: 0.313 0.839 0.152
F: 0.474 0.313 0.161
F: 0.526 0.687 0.839
F: 0.687 0.161 0.848
F: 0.687 0.839 0.526
F: 0.839 0.152 0.313
F: 0.839 0.526 0.687
F: 0.848 0.687 0.161

For BaMgAg2F8, DFT lattice parameters and positions (PBE) gives the calculated powder diffractogram in this record (λ = 1.5418 Å (Cu Kα)).
Neutral-atom scattering factors, no anomalous dispersion.

Main lines, by angle (2θ from 10° to 90°):
22.6 deg, I = 100.0
31.9 deg, I = 40.2
32.5 deg, I = 65.0
38.9 deg, I = 14.5
40.0 deg, I = 41.3
41.9 deg, I = 19.7
46.2 deg, I = 26.3
51.6 deg, I = 13.1
52.5 deg, I = 23.0
56.4 deg, I = 13.3
57.7 deg, I = 16.9
58.1 deg, I = 17.3

Atomic structure:
a b c (Å): 5.503 5.503 6.940
angles (deg): 90.00 90.00 120.00
Fractional positions:
Ba: 0.000 0.000 0.000
Mg: 0.000 0.000 0.500
Ag: 0.333 0.667 0.627
Ag: 0.667 0.333 0.373
F: 0.075 0.754 0.334
F: 0.246 0.321 0.334
F: 0.321 0.075 0.666
F: 0.333 0.667 0.925
F: 0.667 0.333 0.075
F: 0.679 0.925 0.334
F: 0.754 0.679 0.666
F: 0.925 0.246 0.666